(1)
For Na3SiH3O5, DFT lattice parameters and positions (PBE) gives the calculated powder diffraction line list in this record (a wavelength of 1.5418 Å).
Neutral-atom scattering factors, no anomalous dispersion.

Cell and atoms:
Cell: 7.9793 6.0107 11.2780 Å, 90.00 105.23 90.00°
Space group P2_1/c (No. 14)
Asymmetric unit:
Na1 0.0215 0.2439 0.0599
Na2 0.2501 0.0110 0.8347
Na3 0.3989 0.1927 0.5683
Si1 0.3079 0.7061 0.6359
H1 0.0127 0.6152 0.1750
H2 0.1608 0.0273 0.2841
H3 0.4297 0.0977 0.3329
O1 0.0730 0.1518 0.2766
O2 0.1885 0.5660 0.1118
O3 0.2292 0.5122 0.5360
O4 0.3376 0.6303 0.7807
O5 0.4920 0.2291 0.3846

Largest 10 diffraction maxima, by intensity, 2θ = 10–90°:
2θ (°), intensity, h k l
31.9, 100, 1 0 -4
28.8, 88, 2 1 -2
26.9, 77, 2 1 -1
38.0, 68, 2 2 0
38.1, 48, 3 1 0
17.3, 48, 1 0 -2
48.2, 37, 4 1 -1
40.2, 33, 2 2 1
36.2, 33, 0 1 4
32.2, 32, 1 2 -1

(2)
For Na2TiSi4H4O13, DFT lattice parameters and positions (PBE) gives the calculated powder diffraction line list in this record (a wavelength of 1.5418 Å).
Neutral-atom scattering factors, no anomalous dispersion.

Cell and atoms:
Cell: 9.0320 8.8405 7.4598 Å, 90.00 112.38 90.00°
Space group P2_1/c (No. 14)
Asymmetric unit:
Na1 0.1969 0.1907 0.2077
Ti1 0.0000 0.0000 0.5000
Si1 0.1601 0.6605 0.6968
Si2 0.3150 0.5593 0.4053
H1 0.3364 0.1040 0.5945
H2 0.4855 0.1941 0.5813
O1 0.0227 0.7206 0.0682
O2 0.1003 0.5374 0.8156
O3 0.2131 0.0373 0.7132
O4 0.2348 0.5517 0.5694
O5 0.3154 0.7399 0.3456
O6 0.3680 0.1857 0.5260
O7 0.5000 0.0000 0.0000

Largest 10 diffraction maxima, by intensity, 2θ = 10–90°:
2θ (°), intensity, h k l
10.6, 100, 1 0 0
26.5, 75, 2 0 -2
30.7, 67, 2 1 1
33.2, 65, 1 3 -1
16.6, 55, 1 1 -1
22.0, 39, 1 1 1
28.2, 31, 1 2 1
32.8, 23, 3 0 -2
14.6, 22, 1 1 0
21.3, 20, 2 0 0

(3)
For Na2TiSi4H4O13, DFT lattice parameters and positions (PBE) gives the calculated powder diffraction line list in this record (a wavelength of 1.5418 Å).
Neutral-atom scattering factors, no anomalous dispersion.

Cell and atoms:
Cell: 7.4300 7.4300 10.8657 Å, 90.00 90.00 90.00°
Space group P42_12 (No. 90)
Asymmetric unit:
Na1 0.0000 0.0000 0.1695
Ti1 0.0000 0.5000 0.2182
Si1 0.1816 0.7401 0.6444
H1 0.1244 0.2771 0.0097
O1 0.0000 0.5000 0.0573
O2 0.0354 0.2479 0.6736
O3 0.1176 0.7274 0.2632
O4 0.1467 0.1467 0.0000
O5 0.2156 0.7844 0.5000

Largest 10 diffraction maxima, by intensity, 2θ = 10–90°:
2θ (°), intensity, h k l
25.3, 100, 2 0 1
28.1, 89, 2 1 1
20.2, 67, 1 0 2
16.3, 59, 0 0 2
34.6, 52, 2 0 3
34.1, 29, 2 2 0
24.6, 28, 0 0 3
14.4, 23, 1 0 1
43.4, 17, 1 0 5
27.4, 17, 1 0 3